[1]
Diffraction record for CdIr2Pt. The powder diffraction line list is simulated, not measured: it uses a DFT-relaxed cell (GGA-PBE, Alexandria) and Cu Ka.
Neutral-atom scattering factors, no anomalous dispersion.

Structure:
Unit cell a=2.7859 b=4.8516 c=9.5677 alpha=90.00 beta=90.00 gamma=90.00
Space group Cmmm (No. 65)
Asymmetric unit:
Cd (0.0000, 0.0000, 0.0000) (multiplicity 2)
Ir (0.0000, 0.5000, 0.2569) (multiplicity 4)
Pt (0.0000, 0.0000, 0.5000) (multiplicity 2)

The 10 most intense peaks (10 to 90 degrees two-theta), by angle:
index, 2θ (°), I_rel
0 2 0, 37.06, 35
0 0 4, 37.60, 33
1 1 2, 41.89, 100
0 2 4, 53.83, 24
2 0 0, 67.21, 6
1 3 2, 70.10, 22
1 1 6, 70.80, 21
0 4 0, 78.93, 4
2 2 0, 79.32, 8
2 0 4, 79.65, 8

***

[2]
Diffraction record for Sr3Zn2Pb2Au4. The powder diffraction line list is simulated, not measured: it uses a DFT-relaxed cell (GGA-PBE, Alexandria) and Cu Ka.
Neutral-atom scattering factors, no anomalous dispersion.

Structure:
Unit cell a=4.6511 b=4.6511 c=16.2046 alpha=90.00 beta=90.00 gamma=120.00
Space group P-3m1 (No. 164)
Asymmetric unit:
Sr (0.0000, 0.0000, 0.0000) (multiplicity 1)
Sr (0.0000, 0.0000, 0.2570) (multiplicity 2)
Zn (0.3333, 0.6667, 0.1319) (multiplicity 2)
Pb (0.3333, 0.6667, 0.5625) (multiplicity 2)
Au (0.3333, 0.6667, 0.3656) (multiplicity 2)
Au (0.3333, 0.6667, 0.8742) (multiplicity 2)

The 10 most intense peaks (10 to 90 degrees two-theta), by angle:
index, 2θ (°), I_rel
1 0 0, 22.07, 26
0 1 2, 24.68, 33
1 0 3, 27.63, 26
0 1 4, 31.32, 95
1 0 5, 35.55, 23
1 1 0, 38.72, 100
1 0 6, 40.20, 44
1 1 4, 44.96, 27
2 0 4, 50.62, 27
1 2 4, 65.51, 30

***

[3]
Diffraction record for Na3SrTl7. The powder diffraction line list is simulated, not measured: it uses a DFT-relaxed cell (GGA-PBE, Alexandria) and Cu Ka.
Neutral-atom scattering factors, no anomalous dispersion.

Structure:
Unit cell a=3.6252 b=22.2227 c=17.3085 alpha=90.00 beta=90.00 gamma=90.00
Space group Cmcm (No. 63)
Asymmetric unit:
Na (0.0000, 0.1174, 0.0053) (multiplicity 8)
Na (0.0000, 0.2228, 0.7500) (multiplicity 4)
Sr (0.0000, 0.0006, 0.7500) (multiplicity 4)
Tl (0.0000, 0.2482, 0.0852) (multiplicity 8)
Tl (0.0000, 0.3631, 0.7500) (multiplicity 4)
Tl (0.0000, 0.3791, 0.1576) (multiplicity 8)
Tl (0.0000, 0.4896, 0.5856) (multiplicity 8)

The 10 most intense peaks (10 to 90 degrees two-theta), by angle:
index, 2θ (°), I_rel
0 4 2, 18.98, 66
1 1 0, 24.89, 51
0 2 5, 26.98, 34
1 1 3, 29.34, 100
0 8 0, 32.23, 60
1 5 2, 33.54, 28
0 4 6, 35.05, 58
1 3 5, 37.98, 45
1 7 3, 40.90, 29
2 0 0, 50.35, 24

***

[4]
Diffraction record for UAsO5. The powder diffraction line list is simulated, not measured: it uses a DFT-relaxed cell (GGA-PBE, Alexandria) and Cu Ka.
Neutral-atom scattering factors, no anomalous dispersion.

Structure:
Unit cell a=8.2342 b=8.3242 c=8.1079 alpha=90.00 beta=119.24 gamma=90.00
Space group C2/c (No. 15)
Asymmetric unit:
U (0.0000, 0.0000, 0.0000) (multiplicity 4)
As (0.0000, 0.3722, 0.2500) (multiplicity 4)
O (0.0000, 0.0551, 0.7500) (multiplicity 4)
O (0.0009, 0.2529, 0.0768) (multiplicity 8)
O (0.1939, 0.4909, 0.3475) (multiplicity 8)

The 10 most intense peaks (10 to 90 degrees two-theta), by angle:
index, 2θ (°), I_rel
1 1 0, 16.30, 86
0 2 0, 21.35, 43
1 1 -2, 24.42, 100
2 0 0, 24.79, 69
0 0 2, 25.22, 20
0 2 2, 33.28, 35
1 3 0, 34.66, 37
1 1 2, 35.00, 26
3 1 -2, 35.15, 25
4 0 0, 50.88, 26

***

[5]
Diffraction record for RbCa2AgF8. The powder diffraction line list is simulated, not measured: it uses a DFT-relaxed cell (GGA-PBE, Alexandria) and Cu Ka.
Neutral-atom scattering factors, no anomalous dispersion.

Structure:
Unit cell a=4.9795 b=7.3600 c=5.6624 alpha=90.00 beta=94.58 gamma=90.00
Space group P2/m (No. 10)
Asymmetric unit:
Rb (0.0000, 0.0000, 0.0000) (multiplicity 1)
Ca (0.5000, 0.2598, 0.5000) (multiplicity 2)
Ag (0.0000, 0.5000, 0.0000) (multiplicity 1)
F (0.1059, 0.3099, 0.2393) (multiplicity 4)
F (0.3833, 0.5000, 0.7178) (multiplicity 2)
F (0.4180, 0.0000, 0.7122) (multiplicity 2)

The 10 most intense peaks (10 to 90 degrees two-theta), by angle:
index, 2θ (°), I_rel
0 0 1, 15.70, 24
1 0 -1, 22.89, 100
1 0 1, 24.81, 77
0 2 1, 28.96, 80
1 2 0, 30.23, 30
1 2 1, 34.93, 30
2 0 0, 36.19, 34
1 2 -2, 43.26, 58
1 2 2, 45.48, 43
2 2 -1, 45.93, 26

***

[6]
Diffraction record for Pm2Co6C3. The powder diffraction line list is simulated, not measured: it uses a DFT-relaxed cell (GGA-PBE, Alexandria) and Cu Ka.
Neutral-atom scattering factors, no anomalous dispersion.

Structure:
Unit cell a=6.8090 b=6.8090 c=3.6060 alpha=90.00 beta=90.00 gamma=120.00
Space group P-62m (No. 189)
Asymmetric unit:
Pm (0.3333, 0.6667, 0.0000) (multiplicity 2)
Co (0.0000, 0.2207, 0.0000) (multiplicity 3)
Co (0.0000, 0.7669, 0.5000) (multiplicity 3)
C (0.0000, 0.3131, 0.5000) (multiplicity 3)

The 10 most intense peaks (10 to 90 degrees two-theta), by angle:
index, 2θ (°), I_rel
0 0 1, 24.69, 22
1 1 0, 26.18, 32
1 0 1, 29.03, 26
2 0 0, 30.31, 42
1 1 1, 36.29, 100
2 1 0, 40.47, 49
3 0 0, 46.18, 21
2 1 1, 47.99, 59
0 0 2, 50.63, 22
2 2 1, 60.13, 30

***

What is the formula in the second record? Sr3Zn2Pb2Au4